(1)
Theoretical X-ray powder pattern
Compound: Cd3SbN
Radiation: Cu Ka
Structure: DFT lattice parameters and positions (PBE)
Neutral-atom scattering factors, no anomalous dispersion.

Crystal structure
```
data_Cd3SbN
_chemical_formula_sum 'Cd12 Sb4 N4'
_space_group_name_H-M_alt 'P n m a'
_space_group_IT_number 62
_cell_length_a 6.634
_cell_length_b 9.397
_cell_length_c 6.732
_cell_angle_alpha 90.00
_cell_angle_beta 90.00
_cell_angle_gamma 90.00
loop_
_space_group_symop_operation_xyz
'x,y,z'
'-x,-y,-z'
'-x+1/2,-y,z+1/2'
'x+1/2,y,-z+1/2'
'x+1/2,-y+1/2,-z+1/2'
'-x+1/2,y+1/2,z+1/2'
'-x,y+1/2,-z'
'x,-y+1/2,z'
loop_
_atom_site_label
_atom_site_type_symbol
_atom_site_fract_x
_atom_site_fract_y
_atom_site_fract_z
_atom_site_occupancy
Cd1 Cd 0.013 0.250 0.076 1
Cd2 Cd 0.230 0.042 0.728 1
Sb1 Sb 0.024 0.750 0.493 1
N1 N 0.000 0.000 0.000 1
```

Peak list (8 most intense, 2θ = 10–90°, most intense first)
- hkl 2 2 0, d 2.710, 2θ = 33.1°, intensity 100
- hkl 0 2 2, d 2.736, 2θ = 32.7°, intensity 82
- hkl 2 0 2, d 2.363, 2θ = 38.1°, intensity 68
- hkl 0 3 1, d 2.839, 2θ = 31.5°, intensity 45
- hkl 0 4 0, d 2.349, 2θ = 38.3°, intensity 26
- hkl 2 4 2, d 1.666, 2θ = 55.1°, intensity 24
- hkl 4 2 2, d 1.419, 2θ = 65.8°, intensity 18
- hkl 1 1 2, d 2.859, 2θ = 31.3°, intensity 16

(2)
Theoretical X-ray powder pattern
Compound: NaNd8Se12
Radiation: Cu Ka
Structure: DFT lattice parameters and positions (PBE)
Neutral-atom scattering factors, no anomalous dispersion.

Crystal structure
```
data_NaNd8Se12
_chemical_formula_sum 'Na4 Nd32 Se48'
_space_group_name_H-M_alt 'I -4 2 d'
_space_group_IT_number 122
_space_group_name_Hall 'I -4 2bw'
_cell_length_a 8.947
_cell_length_b 8.947
_cell_length_c 26.934
_cell_angle_alpha 90.00
_cell_angle_beta 90.00
_cell_angle_gamma 90.00
loop_
_atom_site_label
_atom_site_type_symbol
_atom_site_fract_x
_atom_site_fract_y
_atom_site_fract_z
_atom_site_occupancy
Na1 Na 0.000 0.000 0.000 1
Nd1 Nd 0.000 0.000 0.332 1
Nd2 Nd 0.120 0.750 0.125 1
Nd3 Nd 0.128 0.746 0.459 1
Se1 Se 0.073 0.675 0.683 1
Se2 Se 0.073 0.680 0.353 1
Se3 Se 0.078 0.675 0.016 1
```

Peak list (8 most intense, 2θ = 10–90°, most intense first)
- hkl 2 1 9, d 2.394, 2θ = 37.6°, intensity 100
- hkl 1 0 9, d 2.834, 2θ = 31.6°, intensity 95
- hkl 3 1 0, d 2.829, 2θ = 31.6°, intensity 56
- hkl 1 1 6, d 3.657, 2θ = 24.3°, intensity 33
- hkl 6 1 3, d 1.452, 2θ = 64.1°, intensity 30
- hkl 4 0 6, d 2.004, 2θ = 45.3°, intensity 23
- hkl 3 2 9, d 1.910, 2θ = 47.6°, intensity 23
- hkl 4 2 6, d 1.828, 2θ = 49.9°, intensity 17

(3)
Theoretical X-ray powder pattern
Compound: PrBeO3
Radiation: Cu Ka
Structure: DFT lattice parameters and positions (PBE)
Neutral-atom scattering factors, no anomalous dispersion.

Crystal structure
```
data_PrBeO3
_chemical_formula_sum 'Pr1 Be1 O3'
_space_group_name_H-M_alt 'P m -3 m'
_space_group_IT_number 221
_space_group_name_Hall '-P 4 2 3'
_cell_length_a 3.680
_cell_length_b 3.680
_cell_length_c 3.680
_cell_angle_alpha 90.00
_cell_angle_beta 90.00
_cell_angle_gamma 90.00
loop_
_atom_site_label
_atom_site_type_symbol
_atom_site_fract_x
_atom_site_fract_y
_atom_site_fract_z
_atom_site_occupancy
Pr1 Pr 0.000 0.000 0.000 1
Be1 Be 0.500 0.500 0.500 1
O1 O 0.000 0.500 0.500 1
```

Peak list (8 most intense, 2θ = 10–90°, most intense first)
- hkl 1 1 0, d 2.602, 2θ = 34.5°, intensity 100
- hkl 1 0 0, d 3.680, 2θ = 24.2°, intensity 99
- hkl 1 1 1, d 2.125, 2θ = 42.5°, intensity 72
- hkl 2 1 0, d 1.646, 2θ = 55.9°, intensity 44
- hkl 2 1 1, d 1.503, 2θ = 61.7°, intensity 39
- hkl 2 0 0, d 1.840, 2θ = 49.5°, intensity 38
- hkl 3 1 1, d 1.110, 2θ = 88.0°, intensity 23
- hkl 2 2 0, d 1.301, 2θ = 72.7°, intensity 22

(4)
Theoretical X-ray powder pattern
Compound: KNa2P3O9
Radiation: Cu Ka
Structure: DFT lattice parameters and positions (PBE)
Neutral-atom scattering factors, no anomalous dispersion.

Crystal structure
```
data_KNa2P3O9
_chemical_formula_sum 'K2 Na4 P6 O18'
_space_group_name_H-M_alt 'P -1'
_space_group_IT_number 2
_cell_length_a 6.853
_cell_length_b 7.060
_cell_length_c 9.601
_cell_angle_alpha 87.08
_cell_angle_beta 70.62
_cell_angle_gamma 75.44
loop_
_space_group_symop_operation_xyz
'x,y,z'
'-x,-y,-z'
loop_
_atom_site_label
_atom_site_type_symbol
_atom_site_fract_x
_atom_site_fract_y
_atom_site_fract_z
_atom_site_occupancy
K1 K 0.149 0.461 0.167 1
Na1 Na 0.232 0.921 0.831 1
Na2 Na 0.283 0.211 0.490 1
P1 P 0.241 0.745 0.473 1
P2 P 0.290 0.956 0.196 1
P3 P 0.377 0.381 0.783 1
O1 O 0.070 0.649 0.560 1
O2 O 0.151 0.873 0.350 1
O3 O 0.153 0.004 0.100 1
O4 O 0.249 0.264 0.741 1
O5 O 0.265 0.568 0.872 1
O6 O 0.334 0.864 0.547 1
O7 O 0.388 0.107 0.231 1
O8 O 0.434 0.574 0.363 1
O9 O 0.476 0.755 0.127 1
```

Peak list (8 most intense, 2θ = 10–90°, most intense first)
- hkl 0 0 3, d 3.017, 2θ = 29.6°, intensity 100
- hkl 1 1 1, d 5.197, 2θ = 17.1°, intensity 88
- hkl 2 2 1, d 2.746, 2θ = 32.6°, intensity 63
- hkl 2 0 0, d 3.131, 2θ = 28.5°, intensity 52
- hkl 0 2 -1, d 3.233, 2θ = 27.6°, intensity 51
- hkl 2 1 2, d 3.091, 2θ = 28.9°, intensity 45
- hkl 0 2 -2, d 2.773, 2θ = 32.3°, intensity 35
- hkl 1 2 2, d 2.909, 2θ = 30.7°, intensity 29

(5)
Theoretical X-ray powder pattern
Compound: Li2CoCl4
Radiation: Cu Ka
Structure: DFT lattice parameters and positions (PBE)
Neutral-atom scattering factors, no anomalous dispersion.

Crystal structure
```
data_Li2CoCl4
_chemical_formula_sum 'Li8 Co4 Cl16'
_space_group_name_H-M_alt 'I m m a'
_space_group_IT_number 74
_space_group_name_Hall '-I 2b 2'
_cell_length_a 7.308
_cell_length_b 7.404
_cell_length_c 9.844
_cell_angle_alpha 90.00
_cell_angle_beta 90.00
_cell_angle_gamma 90.00
loop_
_atom_site_label
_atom_site_type_symbol
_atom_site_fract_x
_atom_site_fract_y
_atom_site_fract_z
_atom_site_occupancy
Li1 Li 0.000 0.000 0.000 1
Li2 Li 0.250 0.250 0.250 1
Co1 Co 0.000 0.000 0.500 1
Cl1 Cl 0.000 0.011 0.259 1
Cl2 Cl 0.235 0.250 0.502 1
```

Peak list (8 most intense, 2θ = 10–90°, most intense first)
- hkl 2 2 0, d 2.601, 2θ = 34.5°, intensity 100
- hkl 1 0 1, d 5.868, 2θ = 15.1°, intensity 80
- hkl 2 2 4, d 1.788, 2θ = 51.1°, intensity 56
- hkl 0 0 4, d 2.461, 2θ = 36.5°, intensity 42
- hkl 0 0 2, d 4.922, 2θ = 18.0°, intensity 23
- hkl 1 2 1, d 3.131, 2θ = 28.5°, intensity 22
- hkl 0 2 2, d 2.959, 2θ = 30.2°, intensity 16
- hkl 0 4 0, d 1.851, 2θ = 49.2°, intensity 16

(6)
Theoretical X-ray powder pattern
Compound: ZnGa2S4
Radiation: Cu Ka
Structure: DFT lattice parameters and positions (PBE)
Neutral-atom scattering factors, no anomalous dispersion.

Crystal structure
```
data_ZnGa2S4
_chemical_formula_sum 'Zn6 Ga12 S24'
_space_group_name_H-M_alt 'R 3 m'
_space_group_IT_number 160
_space_group_name_Hall 'R 3 -2"'
_cell_length_a 3.7258
_cell_length_b 3.7258
_cell_length_c 72.9891
_cell_angle_alpha 90.00
_cell_angle_beta 90.00
_cell_angle_gamma 120.00
loop_
_atom_site_label
_atom_site_type_symbol
_atom_site_fract_x
_atom_site_fract_y
_atom_site_fract_z
_atom_site_occupancy
Zn1 Zn 0.0000 0.0000 0.0000 1
Zn2 Zn 0.0000 0.0000 0.1676 1
Ga1 Ga 0.0000 0.0000 0.4369 1
Ga2 Ga 0.0000 0.0000 0.6033 1
Ga3 Ga 0.0000 0.0000 0.7193 1
Ga4 Ga 0.0000 0.0000 0.8859 1
S1 S 0.0000 0.0000 0.0367 1
S2 S 0.0000 0.0000 0.1165 1
S3 S 0.0000 0.0000 0.2031 1
S4 S 0.0000 0.0000 0.4058 1
S5 S 0.0000 0.0000 0.4918 1
S6 S 0.0000 0.0000 0.5723 1
S7 S 0.0000 0.0000 0.6577 1
S8 S 0.0000 0.0000 0.9498 1
```

Peak list (8 most intense, 2θ = 10–90°, most intense first)
- hkl 0 0 18, d 4.055, 2θ = 21.9°, intensity 100
- hkl 1 1 0, d 1.863, 2θ = 48.9°, intensity 91
- hkl 1 0 7, d 3.082, 2θ = 29.0°, intensity 74
- hkl 1 0 25, d 2.165, 2θ = 41.7°, intensity 52
- hkl 1 1 18, d 1.693, 2θ = 54.2°, intensity 49
- hkl 1 0 4, d 3.177, 2θ = 28.1°, intensity 43
- hkl 0 1 35, d 1.751, 2θ = 52.2°, intensity 34
- hkl 0 1 2, d 3.215, 2θ = 27.8°, intensity 27

(7)
Theoretical X-ray powder pattern
Compound: Ca11Re2N10
Radiation: Cu Ka
Structure: DFT lattice parameters and positions (PBE)
Neutral-atom scattering factors, no anomalous dispersion.

Crystal structure
```
data_Ca11Re2N10
_chemical_formula_sum 'Ca22 Re4 N20'
_space_group_name_H-M_alt 'P 42/m n m'
_space_group_IT_number 136
_space_group_name_Hall '-P 4n 2n'
_cell_length_a 15.412
_cell_length_b 15.412
_cell_length_c 3.511
_cell_angle_alpha 90.00
_cell_angle_beta 90.00
_cell_angle_gamma 90.00
loop_
_atom_site_label
_atom_site_type_symbol
_atom_site_fract_x
_atom_site_fract_y
_atom_site_fract_z
_atom_site_occupancy
Ca1 Ca 0.000 0.000 0.000 1
Ca2 Ca 0.024 0.202 0.500 1
Ca3 Ca 0.107 0.624 0.500 1
Ca4 Ca 0.156 0.844 0.000 1
Re1 Re 0.196 0.196 0.000 1
N1 N 0.020 0.687 0.000 1
N2 N 0.080 0.920 0.500 1
N3 N 0.112 0.112 0.000 1
N4 N 0.220 0.780 0.500 1
```

Peak list (8 most intense, 2θ = 10–90°, most intense first)
- hkl 3 2 1, d 2.713, 2θ = 33.0°, intensity 100
- hkl 2 0 0, d 7.706, 2θ = 11.5°, intensity 96
- hkl 2 1 0, d 6.893, 2θ = 12.8°, intensity 71
- hkl 1 1 1, d 3.342, 2θ = 26.7°, intensity 63
- hkl 4 1 0, d 3.738, 2θ = 23.8°, intensity 51
- hkl 3 0 1, d 2.899, 2θ = 30.8°, intensity 37
- hkl 5 1 0, d 3.023, 2θ = 29.6°, intensity 37
- hkl 5 3 0, d 2.643, 2θ = 33.9°, intensity 30

(8)
Theoretical X-ray powder pattern
Compound: HfIr
Radiation: Cu Ka
Structure: DFT lattice parameters and positions (PBE)
Neutral-atom scattering factors, no anomalous dispersion.

Crystal structure
```
data_HfIr
_chemical_formula_sum 'Hf1 Ir1'
_space_group_name_H-M_alt 'P m -3 m'
_space_group_IT_number 221
_space_group_name_Hall '-P 4 2 3'
_cell_length_a 3.285
_cell_length_b 3.285
_cell_length_c 3.285
_cell_angle_alpha 90.00
_cell_angle_beta 90.00
_cell_angle_gamma 90.00
loop_
_atom_site_label
_atom_site_type_symbol
_atom_site_fract_x
_atom_site_fract_y
_atom_site_fract_z
_atom_site_occupancy
Hf1 Hf 0.000 0.000 0.000 1
Ir1 Ir 0.500 0.500 0.500 1
```

Peak list (4 most intense, 2θ = 10–90°, most intense first)
- hkl 1 1 0, d 2.323, 2θ = 38.8°, intensity 100
- hkl 2 1 1, d 1.341, 2θ = 70.2°, intensity 36
- hkl 2 0 0, d 1.642, 2θ = 56.0°, intensity 17
- hkl 2 2 0, d 1.161, 2θ = 83.2°, intensity 11

Copy entry 7 word for word.
Theoretical X-ray powder pattern
Compound: Ca11Re2N10
Radiation: Cu Ka
Structure: DFT lattice parameters and positions (PBE)
Neutral-atom scattering factors, no anomalous dispersion.

Crystal structure
```
data_Ca11Re2N10
_chemical_formula_sum 'Ca22 Re4 N20'
_space_group_name_H-M_alt 'P 42/m n m'
_space_group_IT_number 136
_space_group_name_Hall '-P 4n 2n'
_cell_length_a 15.412
_cell_length_b 15.412
_cell_length_c 3.511
_cell_angle_alpha 90.00
_cell_angle_beta 90.00
_cell_angle_gamma 90.00
loop_
_atom_site_label
_atom_site_type_symbol
_atom_site_fract_x
_atom_site_fract_y
_atom_site_fract_z
_atom_site_occupancy
Ca1 Ca 0.000 0.000 0.000 1
Ca2 Ca 0.024 0.202 0.500 1
Ca3 Ca 0.107 0.624 0.500 1
Ca4 Ca 0.156 0.844 0.000 1
Re1 Re 0.196 0.196 0.000 1
N1 N 0.020 0.687 0.000 1
N2 N 0.080 0.920 0.500 1
N3 N 0.112 0.112 0.000 1
N4 N 0.220 0.780 0.500 1
```

Peak list (8 most intense, 2θ = 10–90°, most intense first)
- hkl 3 2 1, d 2.713, 2θ = 33.0°, intensity 100
- hkl 2 0 0, d 7.706, 2θ = 11.5°, intensity 96
- hkl 2 1 0, d 6.893, 2θ = 12.8°, intensity 71
- hkl 1 1 1, d 3.342, 2θ = 26.7°, intensity 63
- hkl 4 1 0, d 3.738, 2θ = 23.8°, intensity 51
- hkl 3 0 1, d 2.899, 2θ = 30.8°, intensity 37
- hkl 5 1 0, d 3.023, 2θ = 29.6°, intensity 37
- hkl 5 3 0, d 2.643, 2θ = 33.9°, intensity 30

Question: Which formula does entry 2 have?
Answer: NaNd8Se12